For Li6Mg3In, DFT lattice parameters and positions (PBE) gives the computed powder X-ray diffraction pattern in this record (a wavelength of 1.5418 Å).
Intensities are scaled so that the largest is 100.

Structural model:
a = 8.332 Å, b = 4.782 Å, c = 10.223 Å
α = 90.00°, β = 105.98°, γ = 90.00°
Space group P2_1/m (No. 11)
Inequivalent atoms, fractional coordinates:
1 Li 0.044 0.250 0.399 x2
2 Li 0.140 0.750 0.187 x2
3 Li 0.144 0.250 0.700 x2
4 Li 0.235 0.250 0.993 x2
5 Li 0.342 0.750 0.798 x2
6 Li 0.444 0.250 0.606 x2
7 Mg 0.257 0.750 0.493 x2
8 Mg 0.347 0.250 0.297 x2
9 Mg 0.447 0.750 0.093 x2
10 In 0.049 0.750 0.893 x2

Principal peaks in the range 10° ≤ 2θ ≤ 80°, by angle:
- (1 0 0), 2θ 11.0, intensity 43
- (1 0 -1), 2θ 12.2, intensity 33
- (0 1 1), 2θ 20.7, intensity 24
- (1 1 -1), 2θ 22.2, intensity 33
- (2 0 1), 2θ 26.2, intensity 100
- (2 0 -4), 2θ 37.3, intensity 24
- (3 1 -1), 2θ 37.5, intensity 86
- (0 2 0), 2θ 37.6, intensity 28
- (4 0 2), 2θ 54.0, intensity 23
- (5 1 0), 2θ 61.0, intensity 23

***

For GaMo4, DFT lattice parameters and positions (PBE) gives the computed powder X-ray diffraction pattern in this record (a wavelength of 1.5418 Å).
Intensities are scaled so that the largest is 100.

Structural model:
a = 4.533 Å, b = 4.533 Å, c = 4.533 Å
α = 90.00°, β = 90.00°, γ = 90.00°
Space group Pm-3m (No. 221)
Inequivalent atoms, fractional coordinates:
1 Ga 0.000 0.000 0.000 x1
2 Mo 0.000 0.000 0.500 x3
3 Mo 0.500 0.500 0.500 x1

Principal peaks in the range 10° ≤ 2θ ≤ 80°, by angle:
- (1 0 0), 2θ 19.6, intensity 16
- (1 1 0), 2θ 27.8, intensity 13
- (1 1 1), 2θ 34.3, intensity 95
- (2 0 0), 2θ 39.8, intensity 100
- (2 1 0), 2θ 44.7, intensity 7
- (2 1 1), 2θ 49.2, intensity 5
- (2 2 0), 2θ 57.5, intensity 65
- (3 0 0), 2θ 61.3, intensity 3
- (3 1 1), 2θ 68.7, intensity 36
- (2 2 2), 2θ 72.2, intensity 22

***

For HoHfF7, DFT lattice parameters and positions (PBE) gives the computed powder X-ray diffraction pattern in this record (a wavelength of 1.5418 Å).
Intensities are scaled so that the largest is 100.

Structural model:
a = 6.038 Å, b = 5.792 Å, c = 8.253 Å
α = 90.00°, β = 103.27°, γ = 90.00°
Space group P2_1 (No. 4)
Inequivalent atoms, fractional coordinates:
1 Ho 0.152 0.000 0.189 x2
2 Hf 0.317 0.004 0.726 x2
3 F 0.021 0.728 0.008 x2
4 F 0.081 0.755 0.707 x2
5 F 0.091 0.263 0.707 x2
6 F 0.270 0.002 0.477 x2
7 F 0.363 0.007 0.973 x2
8 F 0.430 0.269 0.255 x2
9 F 0.437 0.743 0.261 x2

Principal peaks in the range 10° ≤ 2θ ≤ 80°, by angle:
- (1 1 0), 2θ 21.5, intensity 100
- (0 0 2), 2θ 22.1, intensity 40
- (1 1 -1), 2θ 22.6, intensity 17
- (1 1 1), 2θ 25.8, intensity 20
- (1 1 -2), 2θ 28.4, intensity 32
- (0 2 0), 2θ 30.9, intensity 15
- (2 2 -1), 2θ 43.5, intensity 17
- (2 2 1), 2θ 47.2, intensity 13
- (3 1 -1), 2θ 47.8, intensity 15
- (1 2 3), 2θ 51.4, intensity 19

***

For TlGa4Te7, DFT lattice parameters and positions (PBE) gives the computed powder X-ray diffraction pattern in this record (a wavelength of 1.5418 Å).
Intensities are scaled so that the largest is 100.

Structural model:
a = 16.554 Å, b = 7.102 Å, c = 6.935 Å
α = 90.00°, β = 90.00°, γ = 90.00°
Space group Pmn2_1 (No. 31)
Inequivalent atoms, fractional coordinates:
1 Tl 0.000 0.117 0.000 x2
2 Ga 0.123 0.657 0.769 x4
3 Ga 0.249 0.826 0.255 x4
4 Te 0.000 0.842 0.610 x2
5 Te 0.113 0.662 0.149 x4
6 Te 0.114 0.310 0.629 x4
7 Te 0.237 0.190 0.146 x4

Principal peaks in the range 10° ≤ 2θ ≤ 80°, by angle:
- (1 0 1), 2θ 13.8, intensity 18
- (4 1 0), 2θ 24.9, intensity 59
- (0 2 0), 2θ 25.1, intensity 28
- (0 0 2), 2θ 25.7, intensity 50
- (4 1 1), 2θ 28.1, intensity 100
- (0 2 1), 2θ 28.2, intensity 49
- (8 0 0), 2θ 43.8, intensity 26
- (4 3 0), 2θ 44.1, intensity 42
- (4 1 3), 2θ 46.8, intensity 35
- (4 3 2), 2θ 51.7, intensity 22

***

For NdSi2NiIr, DFT lattice parameters and positions (PBE) gives the computed powder X-ray diffraction pattern in this record (a wavelength of 1.5418 Å).
Intensities are scaled so that the largest is 100.

Structural model:
a = 4.063 Å, b = 4.063 Å, c = 10.090 Å
α = 90.00°, β = 90.00°, γ = 90.00°
Space group I-4m2 (No. 119)
Inequivalent atoms, fractional coordinates:
1 Nd 0.000 0.000 0.000 x2
2 Si 0.000 0.000 0.375 x4
3 Ni 0.000 0.500 0.750 x2
4 Ir 0.000 0.500 0.250 x2

Principal peaks in the range 10° ≤ 2θ ≤ 80°, by angle:
- (1 0 1), 2θ 23.6, intensity 47
- (1 0 3), 2θ 34.6, intensity 34
- (0 0 4), 2θ 35.6, intensity 19
- (1 1 2), 2θ 36.0, intensity 100
- (2 0 0), 2θ 44.6, intensity 36
- (2 1 1), 2θ 51.1, intensity 13
- (2 1 3), 2θ 57.7, intensity 16
- (2 0 4), 2θ 58.3, intensity 18
- (1 1 6), 2θ 64.2, intensity 18
- (3 1 2), 2θ 76.5, intensity 22

***

For Ca2AcAgRh, DFT lattice parameters and positions (PBE) gives the computed powder X-ray diffraction pattern in this record (a wavelength of 1.5418 Å).
Intensities are scaled so that the largest is 100.

Structural model:
a = 5.463 Å, b = 5.463 Å, c = 5.709 Å
α = 90.00°, β = 90.00°, γ = 90.00°
Space group P4mm (No. 99)
Inequivalent atoms, fractional coordinates:
1 Ca 0.000 0.500 0.000 x2
2 Ac 0.000 0.000 0.516 x1
3 Ag 0.500 0.500 0.596 x1
4 Rh 0.000 0.000 0.024 x1

Principal peaks in the range 10° ≤ 2θ ≤ 80°, by angle:
- (1 0 0), 2θ 16.2, intensity 82
- (1 1 0), 2θ 23.0, intensity 100
- (1 1 1), 2θ 27.9, intensity 91
- (0 0 2), 2θ 31.3, intensity 43
- (2 0 0), 2θ 32.8, intensity 91
- (1 0 2), 2θ 35.5, intensity 42
- (1 1 2), 2θ 39.2, intensity 43
- (2 0 2), 2θ 46.0, intensity 58
- (2 2 0), 2θ 47.1, intensity 33
- (2 1 2), 2θ 49.1, intensity 34

***

For TlZn2Hg9, DFT lattice parameters and positions (PBE) gives the computed powder X-ray diffraction pattern in this record (a wavelength of 1.5418 Å).
Intensities are scaled so that the largest is 100.

Structural model:
a = 9.2836 Å, b = 9.2836 Å, c = 4.1966 Å
α = 90.00°, β = 90.00°, γ = 120.00°
Space group P6/mmm (No. 191)
Inequivalent atoms, fractional coordinates:
1 Tl 0.0000 0.0000 0.0000 x1
2 Zn 0.3333 0.6667 0.0000 x2
3 Hg 0.0000 0.5000 0.0000 x3
4 Hg 0.1891 0.3781 0.5000 x6

Principal peaks in the range 10° ≤ 2θ ≤ 80°, by angle:
- (1 1 1), 2θ 28.7, intensity 16
- (2 1 0), 2θ 29.4, intensity 15
- (2 0 1), 2θ 30.8, intensity 100
- (2 1 1), 2θ 36.5, intensity 29
- (2 2 0), 2θ 38.8, intensity 58
- (0 0 2), 2θ 43.1, intensity 19
- (4 0 1), 2θ 50.3, intensity 19
- (2 2 2), 2θ 59.4, intensity 34
- (4 2 1), 2θ 65.3, intensity 18
- (2 0 3), 2θ 71.4, intensity 13